Pr10US16: calculated powder XRD pattern (Cu Kα (weighted mean of Kα1 and Kα2)), based on a structure optimized by DFT (PBE).
Peak positions follow from Bragg's law for the DFT cell and can differ from measured ones.

Principal peaks in the range 10° ≤ 2θ ≤ 90°, sorted by position:
| Position (°2θ) | d [Å] | I_rel |
| --- | --- | --- |
| 10.3 | 8.621 | 14.0 |
| 25.3 | 3.519 | 100.0 |
| 32.8 | 2.730 | 67.2 |
| 33.0 | 2.716 | 30.9 |
| 39.1 | 2.306 | 40.1 |
| 39.2 | 2.299 | 21.0 |
| 47.1 | 1.930 | 26.6 |
| 49.6 | 1.837 | 25.8 |
| 54.2 | 1.694 | 13.6 |
| 54.3 | 1.689 | 15.0 |
| 66.8 | 1.400 | 24.2 |
| 82.0 | 1.175 | 16.1 |

Atomic structure:
```
Pr10US16
1.0
8.6369 0.0000 0.0000
0.0000 8.6369 0.0000
0.0000 0.0000 8.5835
Pr U S
10 1 16
Direct
0.0000 0.5000 0.2490
0.1243 0.2436 0.8607
0.2443 0.6333 0.6213
0.2436 0.8757 0.1393
0.3667 0.2443 0.3787
0.5000 0.0000 0.7510
0.6333 0.7557 0.3787
0.7564 0.1243 0.1393
0.7557 0.3667 0.6213
0.8757 0.7564 0.8607
0.5000 0.5000 0.0000
0.0783 0.1824 0.1851
0.0799 0.3335 0.5431
0.1813 0.5682 0.9485
0.1824 0.9217 0.8149
0.3281 0.5740 0.2959
0.3335 0.9201 0.4569
0.4260 0.3281 0.7041
0.4318 0.1813 0.0515
0.5682 0.8187 0.0515
0.5740 0.6719 0.7041
0.6665 0.0799 0.4569
0.6719 0.4260 0.2959
0.8176 0.0783 0.8149
0.8187 0.4318 0.9485
0.9201 0.6665 0.5431
0.9217 0.8176 0.1851
```



PrU2S5: calculated powder XRD pattern (Cu Kα (weighted mean of Kα1 and Kα2)), based on a structure optimized by DFT (PBE).
Peak positions follow from Bragg's law for the DFT cell and can differ from measured ones.

Principal peaks in the range 10° ≤ 2θ ≤ 90°, sorted by position:
| Position (°2θ) | d [Å] | I_rel |
| --- | --- | --- |
| 23.9 | 3.726 | 47.6 |
| 25.6 | 3.482 | 100.0 |
| 26.3 | 3.387 | 74.3 |
| 26.8 | 3.321 | 63.7 |
| 36.2 | 2.479 | 63.3 |
| 37.8 | 2.380 | 23.9 |
| 41.0 | 2.202 | 16.7 |
| 43.0 | 2.101 | 17.3 |
| 45.2 | 2.007 | 31.4 |
| 46.2 | 1.965 | 44.5 |
| 52.6 | 1.740 | 53.0 |
| 71.7 | 1.316 | 22.1 |

Atomic structure:
```
PrU2S5
1.0
11.8166 0.0000 0.0000
0.0000 7.4526 0.0000
0.0000 0.0000 8.0317
Pr U S
4 8 20
Direct
0.1771 0.0250 0.0000
0.3229 0.5250 0.5000
0.6771 0.4750 0.0000
0.8229 0.9750 0.5000
0.0077 0.5746 0.7502
0.1802 0.0198 0.5019
0.3198 0.5198 0.0019
0.4923 0.0746 0.2502
0.5077 0.9254 0.7502
0.6802 0.4802 0.5019
0.8198 0.9802 0.0019
0.9923 0.4254 0.2502
0.0012 0.9586 0.7521
0.0936 0.6711 0.4554
0.0993 0.6551 0.0426
0.1871 0.3303 0.7501
0.2156 0.3009 0.2514
0.2844 0.8009 0.7514
0.3129 0.8303 0.2501
0.4007 0.1551 0.5426
0.4064 0.1711 0.9554
0.4988 0.4586 0.2521
0.5012 0.5414 0.7521
0.5936 0.8289 0.4554
0.5993 0.8449 0.0426
0.6871 0.1697 0.7501
0.7156 0.1991 0.2514
0.7844 0.6991 0.7514
0.8129 0.6697 0.2501
0.9007 0.3449 0.5426
0.9064 0.3289 0.9554
0.9988 0.0414 0.2521
```



PrUS2: calculated powder XRD pattern (Cu Kα (weighted mean of Kα1 and Kα2)), based on a structure optimized by DFT (PBE).
Peak positions follow from Bragg's law for the DFT cell and can differ from measured ones.

Principal peaks in the range 10° ≤ 2θ ≤ 90°, sorted by position:
| Position (°2θ) | d [Å] | I_rel |
| --- | --- | --- |
| 26.7 | 3.337 | 24.4 |
| 27.5 | 3.240 | 67.5 |
| 31.7 | 2.826 | 100.0 |
| 44.9 | 2.021 | 37.6 |
| 45.9 | 1.977 | 35.6 |
| 53.0 | 1.729 | 12.3 |
| 53.9 | 1.701 | 23.0 |
| 56.8 | 1.620 | 18.9 |
| 66.1 | 1.413 | 12.0 |
| 74.4 | 1.275 | 17.1 |
| 75.9 | 1.253 | 16.5 |
| 84.2 | 1.150 | 12.9 |

Atomic structure:
```
PrUS2
1.0
3.9536 0.0000 0.0000
-1.9768 3.4239 0.0000
0.0000 0.0000 20.0246
Pr U S
3 3 6
Direct
0.0000 0.0000 0.0000
0.3333 0.6667 0.6667
0.6667 0.3333 0.3333
0.0000 0.0000 0.5000
0.3333 0.6667 0.1667
0.6667 0.3333 0.8333
0.0000 0.0000 0.2446
0.0000 0.0000 0.7554
0.3333 0.6667 0.4221
0.3333 0.6667 0.9112
0.6667 0.3333 0.0888
0.6667 0.3333 0.5779
```



Pr4Y11S22: calculated powder XRD pattern (Cu Kα (weighted mean of Kα1 and Kα2)), based on a structure optimized by DFT (PBE).
Peak positions follow from Bragg's law for the DFT cell and can differ from measured ones.

Principal peaks in the range 10° ≤ 2θ ≤ 90°, sorted by position:
| Position (°2θ) | d [Å] | I_rel |
| --- | --- | --- |
| 23.3 | 3.810 | 84.4 |
| 23.8 | 3.740 | 45.8 |
| 24.1 | 3.692 | 100.0 |
| 27.2 | 3.284 | 34.9 |
| 27.5 | 3.248 | 53.9 |
| 31.3 | 2.862 | 99.6 |
| 31.8 | 2.816 | 36.3 |
| 33.7 | 2.660 | 80.5 |
| 36.1 | 2.490 | 40.2 |
| 41.8 | 2.160 | 63.5 |
| 43.8 | 2.069 | 46.2 |
| 45.7 | 1.987 | 57.0 |

Atomic structure:
```
Pr4Y11S22
1.0
19.6939 -1.9872 0.0000
19.6939 1.9872 0.0000
-0.3112 0.0000 11.4306
Pr Y S
4 11 22
Direct
0.1046 0.1046 0.0119
0.3669 0.3669 0.3474
0.6331 0.6331 0.6526
0.8954 0.8954 0.9881
0.0000 0.0000 0.0000
0.0698 0.0698 0.3604
0.2021 0.2021 0.9416
0.2636 0.2636 0.3517
0.3423 0.3423 0.6987
0.4616 0.4616 0.2705
0.5384 0.5384 0.7295
0.6577 0.6577 0.3013
0.7364 0.7364 0.6483
0.7979 0.7979 0.0584
0.9302 0.9302 0.6396
0.0078 0.0078 0.2391
0.0881 0.0881 0.7533
0.1349 0.1349 0.4546
0.1684 0.1684 0.1503
0.1888 0.1888 0.6912
0.2549 0.2549 0.1191
0.2802 0.2802 0.5888
0.3506 0.3506 0.0923
0.4071 0.4071 0.7888
0.4446 0.4446 0.4934
0.4527 0.4527 0.0303
0.5473 0.5473 0.9697
0.5554 0.5554 0.5066
0.5929 0.5929 0.2112
0.6494 0.6494 0.9077
0.7198 0.7198 0.4112
0.7451 0.7451 0.8809
0.8112 0.8112 0.3088
0.8316 0.8316 0.8497
0.8651 0.8651 0.5454
0.9119 0.9119 0.2467
0.9922 0.9922 0.7609
```



PrY3S6: calculated powder XRD pattern (Cu Kα (weighted mean of Kα1 and Kα2)), based on a structure optimized by DFT (PBE).
Peak positions follow from Bragg's law for the DFT cell and can differ from measured ones.

Principal peaks in the range 10° ≤ 2θ ≤ 90°, sorted by position:
| Position (°2θ) | d [Å] | I_rel |
| --- | --- | --- |
| 23.5 | 3.789 | 74.0 |
| 23.7 | 3.755 | 38.9 |
| 23.9 | 3.716 | 86.3 |
| 24.2 | 3.672 | 32.1 |
| 27.4 | 3.255 | 32.8 |
| 30.8 | 2.908 | 100.0 |
| 33.9 | 2.643 | 73.0 |
| 36.6 | 2.453 | 32.0 |
| 39.4 | 2.290 | 35.0 |
| 41.9 | 2.154 | 81.2 |
| 43.6 | 2.074 | 45.5 |
| 45.2 | 2.004 | 59.3 |

Atomic structure:
```
PrY3S6
1.0
11.1480 0.0000 0.0000
0.0000 4.0083 0.0000
-3.6867 0.0000 10.7545
Pr Y S
2 6 12
Direct
0.0488 0.2500 0.1939
0.9512 0.7500 0.8061
0.1610 0.2500 0.5860
0.3198 0.7500 0.9989
0.4401 0.2500 0.3331
0.5599 0.7500 0.6669
0.6802 0.2500 0.0011
0.8390 0.7500 0.4140
0.0811 0.7500 0.4047
0.1174 0.2500 0.9633
0.1943 0.7500 0.7487
0.2646 0.7500 0.2284
0.3946 0.2500 0.5594
0.4784 0.2500 0.1119
0.5216 0.7500 0.8881
0.6054 0.7500 0.4406
0.7355 0.2500 0.7716
0.8057 0.2500 0.2513
0.8826 0.7500 0.0367
0.9189 0.2500 0.5953
```



PrSb2: calculated powder XRD pattern (Cu Kα (weighted mean of Kα1 and Kα2)), based on a structure optimized by DFT (PBE).
Peak positions follow from Bragg's law for the DFT cell and can differ from measured ones.

Principal peaks in the range 10° ≤ 2θ ≤ 90°, sorted by position:
| Position (°2θ) | d [Å] | I_rel |
| --- | --- | --- |
| 24.8 | 3.594 | 17.5 |
| 29.3 | 3.051 | 41.4 |
| 29.8 | 3.001 | 52.2 |
| 32.3 | 2.774 | 100.0 |
| 34.4 | 2.610 | 44.0 |
| 35.7 | 2.516 | 27.3 |
| 40.9 | 2.208 | 54.6 |
| 47.9 | 1.901 | 17.8 |
| 49.3 | 1.850 | 13.2 |
| 54.2 | 1.694 | 23.7 |
| 58.1 | 1.588 | 14.2 |
| 68.0 | 1.378 | 22.7 |

Atomic structure:
```
PrSb2
1.0
3.1768 -3.1143 0.0000
3.1768 3.1143 0.0000
0.0000 0.0000 18.3031
Pr Sb
4 8
Direct
0.1356 0.8644 0.8897
0.3644 0.6356 0.3897
0.6356 0.3644 0.6103
0.8644 0.1356 0.1103
0.1268 0.3732 0.7500
0.1319 0.8681 0.5637
0.3681 0.6319 0.0637
0.3732 0.1268 0.2500
0.6268 0.8732 0.7500
0.6319 0.3681 0.9363
0.8681 0.1319 0.4363
0.8732 0.6268 0.2500
```



PrSb3: calculated powder XRD pattern (Cu Kα (weighted mean of Kα1 and Kα2)), based on a structure optimized by DFT (PBE).
Peak positions follow from Bragg's law for the DFT cell and can differ from measured ones.

Principal peaks in the range 10° ≤ 2θ ≤ 90°, sorted by position:
| Position (°2θ) | d [Å] | I_rel |
| --- | --- | --- |
| 32.0 | 2.799 | 100.0 |
| 37.1 | 2.424 | 50.1 |
| 53.5 | 1.714 | 34.5 |
| 63.7 | 1.462 | 40.4 |
| 66.9 | 1.399 | 11.6 |
| 79.0 | 1.212 | 5.4 |
| 87.8 | 1.112 | 17.2 |

Atomic structure:
```
PrSb3
1.0
4.8480 0.0000 0.0000
0.0000 4.8480 0.0000
0.0000 0.0000 4.8480
Pr Sb
1 3
Direct
0.0000 0.0000 0.0000
0.0000 0.5000 0.5000
0.5000 0.0000 0.5000
0.5000 0.5000 0.0000
```



Pr5Sb3: calculated powder XRD pattern (Cu Kα (weighted mean of Kα1 and Kα2)), based on a structure optimized by DFT (PBE).
Peak positions follow from Bragg's law for the DFT cell and can differ from measured ones.

Principal peaks in the range 10° ≤ 2θ ≤ 90°, sorted by position:
| Position (°2θ) | d [Å] | I_rel |
| --- | --- | --- |
| 27.4 | 3.254 | 18.2 |
| 28.9 | 3.093 | 30.7 |
| 29.5 | 3.024 | 16.7 |
| 32.0 | 2.794 | 100.0 |
| 32.8 | 2.728 | 64.6 |
| 33.4 | 2.680 | 90.3 |
| 47.6 | 1.912 | 24.7 |
| 50.6 | 1.804 | 16.3 |
| 51.4 | 1.776 | 26.2 |
| 52.9 | 1.732 | 14.3 |
| 56.6 | 1.627 | 14.5 |
| 67.0 | 1.397 | 17.6 |

Atomic structure:
```
Pr5Sb3
1.0
8.1896 -4.7214 0.0000
8.1896 4.7214 0.0000
0.0000 0.0000 6.5090
Pr Sb
10 6
Direct
0.1667 0.1667 0.0000
0.1667 0.1667 0.5000
0.2472 0.5001 0.2500
0.2473 0.7527 0.7500
0.5001 0.2472 0.7500
0.4999 0.7528 0.2500
0.7527 0.2473 0.2500
0.7528 0.4999 0.7500
0.8333 0.8333 0.0000
0.8333 0.8333 0.5000
0.1147 0.5000 0.7500
0.1147 0.8853 0.2500
0.5000 0.1147 0.2500
0.5000 0.8853 0.7500
0.8853 0.1147 0.7500
0.8853 0.5000 0.2500
```



Copy entry 4 word for word.
Pr4Y11S22: calculated powder XRD pattern (Cu Kα (weighted mean of Kα1 and Kα2)), based on a structure optimized by DFT (PBE).
Peak positions follow from Bragg's law for the DFT cell and can differ from measured ones.

Principal peaks in the range 10° ≤ 2θ ≤ 90°, sorted by position:
| Position (°2θ) | d [Å] | I_rel |
| --- | --- | --- |
| 23.3 | 3.810 | 84.4 |
| 23.8 | 3.740 | 45.8 |
| 24.1 | 3.692 | 100.0 |
| 27.2 | 3.284 | 34.9 |
| 27.5 | 3.248 | 53.9 |
| 31.3 | 2.862 | 99.6 |
| 31.8 | 2.816 | 36.3 |
| 33.7 | 2.660 | 80.5 |
| 36.1 | 2.490 | 40.2 |
| 41.8 | 2.160 | 63.5 |
| 43.8 | 2.069 | 46.2 |
| 45.7 | 1.987 | 57.0 |

Atomic structure:
```
Pr4Y11S22
1.0
19.6939 -1.9872 0.0000
19.6939 1.9872 0.0000
-0.3112 0.0000 11.4306
Pr Y S
4 11 22
Direct
0.1046 0.1046 0.0119
0.3669 0.3669 0.3474
0.6331 0.6331 0.6526
0.8954 0.8954 0.9881
0.0000 0.0000 0.0000
0.0698 0.0698 0.3604
0.2021 0.2021 0.9416
0.2636 0.2636 0.3517
0.3423 0.3423 0.6987
0.4616 0.4616 0.2705
0.5384 0.5384 0.7295
0.6577 0.6577 0.3013
0.7364 0.7364 0.6483
0.7979 0.7979 0.0584
0.9302 0.9302 0.6396
0.0078 0.0078 0.2391
0.0881 0.0881 0.7533
0.1349 0.1349 0.4546
0.1684 0.1684 0.1503
0.1888 0.1888 0.6912
0.2549 0.2549 0.1191
0.2802 0.2802 0.5888
0.3506 0.3506 0.0923
0.4071 0.4071 0.7888
0.4446 0.4446 0.4934
0.4527 0.4527 0.0303
0.5473 0.5473 0.9697
0.5554 0.5554 0.5066
0.5929 0.5929 0.2112
0.6494 0.6494 0.9077
0.7198 0.7198 0.4112
0.7451 0.7451 0.8809
0.8112 0.8112 0.3088
0.8316 0.8316 0.8497
0.8651 0.8651 0.5454
0.9119 0.9119 0.2467
0.9922 0.9922 0.7609
```



Repeat the first record exactly.
Pr10US16: calculated powder XRD pattern (Cu Kα (weighted mean of Kα1 and Kα2)), based on a structure optimized by DFT (PBE).
Peak positions follow from Bragg's law for the DFT cell and can differ from measured ones.

Principal peaks in the range 10° ≤ 2θ ≤ 90°, sorted by position:
| Position (°2θ) | d [Å] | I_rel |
| --- | --- | --- |
| 10.3 | 8.621 | 14.0 |
| 25.3 | 3.519 | 100.0 |
| 32.8 | 2.730 | 67.2 |
| 33.0 | 2.716 | 30.9 |
| 39.1 | 2.306 | 40.1 |
| 39.2 | 2.299 | 21.0 |
| 47.1 | 1.930 | 26.6 |
| 49.6 | 1.837 | 25.8 |
| 54.2 | 1.694 | 13.6 |
| 54.3 | 1.689 | 15.0 |
| 66.8 | 1.400 | 24.2 |
| 82.0 | 1.175 | 16.1 |

Atomic structure:
```
Pr10US16
1.0
8.6369 0.0000 0.0000
0.0000 8.6369 0.0000
0.0000 0.0000 8.5835
Pr U S
10 1 16
Direct
0.0000 0.5000 0.2490
0.1243 0.2436 0.8607
0.2443 0.6333 0.6213
0.2436 0.8757 0.1393
0.3667 0.2443 0.3787
0.5000 0.0000 0.7510
0.6333 0.7557 0.3787
0.7564 0.1243 0.1393
0.7557 0.3667 0.6213
0.8757 0.7564 0.8607
0.5000 0.5000 0.0000
0.0783 0.1824 0.1851
0.0799 0.3335 0.5431
0.1813 0.5682 0.9485
0.1824 0.9217 0.8149
0.3281 0.5740 0.2959
0.3335 0.9201 0.4569
0.4260 0.3281 0.7041
0.4318 0.1813 0.0515
0.5682 0.8187 0.0515
0.5740 0.6719 0.7041
0.6665 0.0799 0.4569
0.6719 0.4260 0.2959
0.8176 0.0783 0.8149
0.8187 0.4318 0.9485
0.9201 0.6665 0.5431
0.9217 0.8176 0.1851
```



Number 4 is which compound?
Pr4Y11S22